# 1
MnNiPdAu: simulated X-ray powder pattern (Cu Kα (weighted mean of Kα1 and Kα2)), based on a PBE-relaxed structure.

Structure:
a b c (Å): 3.9433 3.9433 7.5590
angles (deg): 90.00 90.00 90.00
Space group I-4m2 (No. 119)
Unique sites:
Mn 0.0000 0.0000 0.0000 [2 per cell]
Ni 0.0000 0.0000 0.5000 [2 per cell]
Pd 0.0000 0.5000 0.2500 [2 per cell]
Au 0.0000 0.5000 0.7500 [2 per cell]

Main lines, by angle (2θ = 10–90°):
- d 3.779, I 18.2
- d 3.496, I 13.9
- d 2.788, I 17.1
- d 2.244, I 100.0
- d 1.972, I 33.7
- d 1.890, I 14.7
- d 1.364, I 19.7
- d 1.184, I 25.0
- d 1.148, I 12.7
- d 1.122, I 10.8



# 2
AcTb6Ho8: simulated X-ray powder pattern (Cu Kα (weighted mean of Kα1 and Kα2)), based on a PBE-relaxed structure.

Structure:
a b c (Å): 9.0368 9.0368 20.7644
angles (deg): 90.00 90.00 120.00
Space group R-3 (No. 148, hexagonal axes)
Unique sites:
Ac 0.0000 0.0000 0.0000 [3 per cell]
Tb 0.0539 0.8123 0.7088 [18 per cell]
Ho 0.0000 0.0000 0.4232 [6 per cell]
Ho 0.0794 0.5275 0.8088 [18 per cell]

Main lines, by angle (2θ = 10–90°):
- d 2.928, I 18.2
- d 2.846, I 100.0
- d 2.774, I 30.1
- d 2.747, I 7.4
- d 2.570, I 12.0
- d 2.441, I 13.4
- d 1.728, I 11.0
- d 1.708, I 6.9
- d 1.658, I 8.3
- d 1.536, I 10.4



# 3
CsZr2Sc2O7: simulated X-ray powder pattern (Cu Kα (weighted mean of Kα1 and Kα2)), based on a PBE-relaxed structure.

Structure:
a b c (Å): 4.2817 4.3426 18.1616
angles (deg): 90.00 90.00 90.00
Space group Immm (No. 71)
Unique sites:
Cs 0.0000 0.0000 0.0000 [2 per cell]
Zr 0.0000 0.0000 0.3863 [4 per cell]
Sc 0.0000 0.5000 0.2528 [4 per cell]
O 0.0000 0.0000 0.2624 [4 per cell]
O 0.0000 0.0000 0.5000 [2 per cell]
O 0.0000 0.5000 0.1335 [4 per cell]
O 0.0000 0.5000 0.3702 [4 per cell]

Main lines, by angle (2θ = 10–90°):
- d 3.529, I 72.9
- d 3.496, I 75.5
- d 3.049, I 45.3
- d 2.890, I 100.0
- d 2.786, I 61.1
- d 2.770, I 56.3
- d 2.270, I 51.6
- d 2.171, I 52.5
- d 2.141, I 50.2
- d 1.560, I 33.6



# 4
Sm5Tm6: simulated X-ray powder pattern (Cu Kα (weighted mean of Kα1 and Kα2)), based on a PBE-relaxed structure.

Structure:
a b c (Å): 5.5271 8.0616 15.9988
angles (deg): 90.00 90.00 90.00
Space group Immm (No. 71)
Unique sites:
Sm 0.0000 0.0000 0.0000 [2 per cell]
Sm 0.0000 0.0000 0.3013 [4 per cell]
Sm 0.0000 0.5000 0.3376 [4 per cell]
Tm 0.0000 0.2063 0.5000 [4 per cell]
Tm 0.0000 0.2940 0.1372 [8 per cell]

Main lines, by angle (2θ = 10–90°):
- d 3.006, I 26.2
- d 2.779, I 100.0
- d 2.765, I 52.4
- d 2.666, I 14.6
- d 2.650, I 12.4
- d 1.919, I 11.2
- d 1.741, I 10.3
- d 1.599, I 19.2
- d 1.473, I 11.5
- d 1.443, I 11.9



# 5
Tb4ThHg: simulated X-ray powder pattern (Cu Kα (weighted mean of Kα1 and Kα2)), based on a PBE-relaxed structure.

Structure:
a b c (Å): 8.9074 14.0488 6.3036
angles (deg): 90.00 110.94 90.00
Space group C2/c (No. 15)
Unique sites:
Tb 0.1058 0.1867 0.0590 [8 per cell]
Tb 0.2135 0.3994 0.3571 [8 per cell]
Th 0.0000 0.3908 0.7500 [4 per cell]
Hg 0.0000 0.0008 0.7500 [4 per cell]

Main lines, by angle (2θ = 10–90°):
- d 3.108, I 49.1
- d 3.075, I 31.6
- d 2.885, I 83.0
- d 2.718, I 76.1
- d 2.711, I 100.0
- d 2.686, I 40.8
- d 2.662, I 90.0
- d 2.615, I 82.1
- d 1.508, I 31.6
- d 1.474, I 39.0



# 6
FeAu: simulated X-ray powder pattern (Cu Kα (weighted mean of Kα1 and Kα2)), based on a PBE-relaxed structure.

Structure:
a b c (Å): 7.8924 7.8924 4.1055
angles (deg): 90.00 90.00 90.00
Space group I4/mmm (No. 139)
Unique sites:
Fe 0.1558 0.1558 0.0000 [8 per cell]
Au 0.0000 0.3058 0.5000 [8 per cell]

Main lines, by angle (2θ = 10–90°):
- d 5.581, I 19.9
- d 2.790, I 32.9
- d 2.676, I 54.6
- d 2.215, I 100.0
- d 2.053, I 22.3
- d 1.860, I 25.9
- d 1.380, I 22.1
- d 1.378, I 19.2
- d 1.214, I 14.4
- d 1.131, I 14.4



# 7
CoOsPt2: simulated X-ray powder pattern (Cu Kα (weighted mean of Kα1 and Kα2)), based on a PBE-relaxed structure.

Structure:
a b c (Å): 5.4078 7.8395 2.7016
angles (deg): 90.00 90.00 90.00
Space group Cmmm (No. 65)
Unique sites:
Co 0.0000 0.0000 0.0000 [2 per cell]
Os 0.0000 0.5000 0.0000 [2 per cell]
Pt 0.2500 0.2500 0.5000 [4 per cell]

Main lines, by angle (2θ = 10–90°):
- d 4.451, I 11.3
- d 3.920, I 4.9
- d 2.225, I 100.0
- d 1.960, I 17.1
- d 1.911, I 31.7
- d 1.368, I 21.3
- d 1.351, I 10.2
- d 1.176, I 13.2
- d 1.155, I 25.2
- d 1.113, I 11.4



# 8
TbPm2Cd5: simulated X-ray powder pattern (Cu Kα (weighted mean of Kα1 and Kα2)), based on a PBE-relaxed structure.

Structure:
a b c (Å): 5.1679 5.1679 15.3958
angles (deg): 90.00 90.00 90.00
Space group I4/mmm (No. 139)
Unique sites:
Tb 0.0000 0.0000 0.0000 [2 per cell]
Pm 0.0000 0.0000 0.2625 [4 per cell]
Cd 0.0000 0.0000 0.5000 [2 per cell]
Cd 0.0000 0.5000 0.1155 [8 per cell]

Main lines, by angle (2θ = 10–90°):
- d 2.650, I 100.0
- d 2.584, I 48.9
- d 1.924, I 8.1
- d 1.827, I 17.2
- d 1.543, I 15.6
- d 1.504, I 33.9
- d 1.325, I 9.3
- d 1.292, I 5.3
- d 1.161, I 7.3
- d 1.156, I 7.6



# 9
NdGaIr: simulated X-ray powder pattern (Cu Kα (weighted mean of Kα1 and Kα2)), based on a PBE-relaxed structure.

Structure:
a b c (Å): 4.1012 4.1012 15.7414
angles (deg): 90.00 90.00 90.00
Space group I4_1md (No. 109)
Unique sites:
Nd 0.0000 0.0000 0.0000 [4 per cell]
Ga 0.0000 0.0000 0.5901 [4 per cell]
Ir 0.0000 0.0000 0.4306 [4 per cell]

Main lines, by angle (2θ = 10–90°):
- d 3.969, I 13.0
- d 3.935, I 14.2
- d 3.231, I 19.1
- d 2.721, I 100.0
- d 2.497, I 50.8
- d 2.051, I 39.0
- d 1.972, I 31.7
- d 1.585, I 25.3
- d 1.421, I 22.2
- d 1.280, I 19.4



# 10
Ba2Na3Sr2: simulated X-ray powder pattern (Cu Kα (weighted mean of Kα1 and Kα2)), based on a PBE-relaxed structure.

Structure:
a b c (Å): 14.6489 6.7008 9.2797
angles (deg): 90.00 129.16 90.00
Space group C2/m (No. 12)
Unique sites:
Ba 0.1674 0.0000 0.2936 [4 per cell]
Na 0.0000 0.5000 0.0000 [2 per cell]
Na 0.0121 0.5000 0.6784 [4 per cell]
Sr 0.1687 0.0000 0.7935 [4 per cell]

Main lines, by angle (2θ = 10–90°):
- d 5.771, I 21.1
- d 3.616, I 100.0
- d 3.593, I 50.4
- d 3.350, I 37.9
- d 3.296, I 72.2
- d 2.450, I 36.0
- d 1.982, I 18.6
- d 1.963, I 17.6
- d 1.952, I 19.6
- d 1.894, I 18.5



# 11
BaAuI2: simulated X-ray powder pattern (Cu Kα (weighted mean of Kα1 and Kα2)), based on a PBE-relaxed structure.

Structure:
a b c (Å): 5.9359 5.9359 19.9734
angles (deg): 90.00 90.00 90.00
Space group I-42d (No. 122)
Unique sites:
Ba 0.0000 0.0000 0.0000 [4 per cell]
Au 0.0000 0.0000 0.5000 [4 per cell]
I 0.2036 0.2500 0.6250 [8 per cell]

Main lines, by angle (2θ = 10–90°):
- d 3.869, I 100.0
- d 2.608, I 35.9
- d 2.551, I 63.5
- d 2.497, I 16.1
- d 2.099, I 16.7
- d 1.845, I 23.0
- d 1.804, I 11.9
- d 1.635, I 15.6
- d 1.606, I 14.3
- d 1.283, I 11.1



# 12
ScTaCrCoAs: simulated X-ray powder pattern (Cu Kα (weighted mean of Kα1 and Kα2)), based on a PBE-relaxed structure.

Structure:
a b c (Å): 3.4549 4.0746 5.6421
angles (deg): 90.00 90.00 90.00
Space group Pmm2 (No. 25)
Unique sites:
Sc 0.0000 0.0000 0.0000 [1 per cell]
Ta 0.5000 0.0000 0.4863 [1 per cell]
Cr 0.0000 0.5000 0.4749 [1 per cell]
Co 0.5000 0.5000 0.2076 [1 per cell]
As 0.5000 0.5000 0.8014 [1 per cell]

Main lines, by angle (2θ = 10–90°):
- d 5.642, I 43.7
- d 3.455, I 31.6
- d 3.303, I 17.0
- d 2.946, I 14.3
- d 2.388, I 100.0
- d 2.319, I 36.8
- d 2.037, I 26.4
- d 1.926, I 46.4
- d 1.727, I 15.5
- d 1.652, I 20.2